Diffraction record for Th3In4Ag2. The powder X-ray diffraction pattern is theoretical, not measured: it uses a cell relaxed with PBE and Cu Kα (weighted mean of Kα1 and Kα2).

The 10 most intense peaks (15° ≤ 2θ ≤ 90°), sorted by position:
2θ = 20.52°, rel. 22
2θ = 32.39°, rel. 73
2θ = 32.49°, rel. 73
2θ = 35.95°, rel. 100
2θ = 49.14°, rel. 16
2θ = 49.26°, rel. 22
2θ = 62.30°, rel. 15
2θ = 62.42°, rel. 15
2θ = 62.51°, rel. 14
2θ = 64.61°, rel. 18

```
Th3In4Ag2
1.0
5.6319 -2.4980 0.0000
5.6319 2.4980 0.0000
-4.3850 0.0000 8.2621
Th In Ag
3 4 2
Direct
0.0000 0.0000 0.0000 Th
0.3307 0.3307 0.3397 Th
0.6693 0.6693 0.6603 Th
0.0495 0.0495 0.3798 In
0.2772 0.2772 0.9369 In
0.7228 0.7228 0.0631 In
0.9505 0.9505 0.6202 In
0.3984 0.3984 0.7285 Ag
0.6016 0.6016 0.2715 Ag
```


Diffraction record for Ta2OsPb. The powder X-ray diffraction pattern is theoretical, not measured: it uses a cell relaxed with PBE and Cu Kα (weighted mean of Kα1 and Kα2).

The 10 most intense peaks (15° ≤ 2θ ≤ 90°), sorted by position:
2θ = 36.35°, rel. 100
2θ = 36.60°, rel. 80
2θ = 41.41°, rel. 57
2θ = 44.25°, rel. 35
2θ = 59.66°, rel. 12
2θ = 62.20°, rel. 35
2θ = 72.06°, rel. 26
2θ = 72.53°, rel. 12
2θ = 76.22°, rel. 12
2θ = 77.20°, rel. 14

```
Ta2OsPb
1.0
3.0998 0.0000 0.0000
0.0000 4.0943 0.0000
0.0000 0.0000 6.1355
Ta Os Pb
2 1 1
Direct
0.0000 0.0000 0.0000 Ta
0.5000 0.5000 0.2270 Ta
0.0000 0.0000 0.4036 Os
0.5000 0.5000 0.7132 Pb
```


Diffraction record for PmHo12Tm2. The powder X-ray diffraction pattern is theoretical, not measured: it uses a cell relaxed with PBE and Cu Kα (weighted mean of Kα1 and Kα2).

The 10 most intense peaks (15° ≤ 2θ ≤ 90°), sorted by position:
2θ = 30.54°, rel. 100
2θ = 31.40°, rel. 46
2θ = 32.36°, rel. 69
2θ = 32.51°, rel. 39
2θ = 32.72°, rel. 70
2θ = 33.87°, rel. 35
2θ = 46.53°, rel. 29
2θ = 51.63°, rel. 19
2θ = 60.41°, rel. 21
2θ = 62.27°, rel. 21

```
PmHo12Tm2
1.0
3.5404 0.0000 0.0000
0.0000 5.5331 0.0000
-1.7657 0.0000 24.1126
Pm Ho Tm
1 12 2
Direct
0.0000 0.0000 0.0000 Pm
0.0683 0.0000 0.1388 Ho
0.0986 0.5000 0.2024 Ho
0.1648 0.5000 0.3302 Ho
0.2146 0.0000 0.4246 Ho
0.2756 0.5000 0.5552 Ho
0.4636 0.5000 0.9248 Ho
0.5364 0.5000 0.0752 Ho
0.7244 0.5000 0.4448 Ho
0.7854 0.0000 0.5754 Ho
0.8352 0.5000 0.6698 Ho
0.9014 0.5000 0.7976 Ho
0.9317 0.0000 0.8612 Ho
0.3659 0.0000 0.7284 Tm
0.6341 0.0000 0.2716 Tm
```


Diffraction record for K2URh3O12. The powder X-ray diffraction pattern is theoretical, not measured: it uses a cell relaxed with PBE and Cu Kα (weighted mean of Kα1 and Kα2).

The 10 most intense peaks (15° ≤ 2θ ≤ 90°), sorted by position:
2θ = 27.59°, rel. 64
2θ = 28.32°, rel. 29
2θ = 28.57°, rel. 100
2θ = 30.21°, rel. 94
2θ = 34.48°, rel. 23
2θ = 45.37°, rel. 23
2θ = 46.01°, rel. 30
2θ = 48.34°, rel. 34
2θ = 50.76°, rel. 36
2θ = 59.15°, rel. 22

```
K2URh3O12
1.0
3.5971 2.0768 6.3027
-3.5971 2.0768 6.3027
0.0000 -4.1536 6.3027
K U Rh O
2 1 3 12
Direct
0.1071 0.1071 0.1071 K
0.8929 0.8929 0.8929 K
0.5000 0.5000 0.5000 U
0.0000 0.5000 0.5000 Rh
0.5000 0.0000 0.5000 Rh
0.5000 0.5000 0.0000 Rh
0.1696 0.5694 0.5694 O
0.1819 0.1819 0.5810 O
0.1819 0.5810 0.1819 O
0.4190 0.8181 0.8181 O
0.4306 0.4306 0.8304 O
0.4306 0.8304 0.4306 O
0.5694 0.1696 0.5694 O
0.5694 0.5694 0.1696 O
0.5810 0.1819 0.1819 O
0.8181 0.4190 0.8181 O
0.8181 0.8181 0.4190 O
0.8304 0.4306 0.4306 O
```


Diffraction record for Ho2Zn12Ni5. The powder X-ray diffraction pattern is theoretical, not measured: it uses a cell relaxed with PBE and Cu Kα (weighted mean of Kα1 and Kα2).

The 10 most intense peaks (15° ≤ 2θ ≤ 90°), sorted by position:
2θ = 29.36°, rel. 32
2θ = 35.36°, rel. 40
2θ = 36.96°, rel. 26
2θ = 41.06°, rel. 64
2θ = 41.53°, rel. 100
2θ = 42.93°, rel. 61
2θ = 46.60°, rel. 26
2θ = 60.90°, rel. 18
2θ = 67.68°, rel. 18
2θ = 77.70°, rel. 19

```
Ho2Zn12Ni5
1.0
4.3964 2.5382 4.2143
-4.3964 2.5382 4.2143
0.0000 -5.0765 4.2143
Ho Zn Ni
2 12 5
Direct
0.1717 0.1717 0.1717 Ho
0.8283 0.8283 0.8283 Ho
0.1547 0.1547 0.6424 Zn
0.1547 0.6424 0.1547 Zn
0.2124 0.5000 0.7876 Zn
0.2124 0.7876 0.5000 Zn
0.3576 0.8453 0.8453 Zn
0.5000 0.2124 0.7876 Zn
0.5000 0.7876 0.2124 Zn
0.6424 0.1547 0.1547 Zn
0.7876 0.2124 0.5000 Zn
0.7876 0.5000 0.2124 Zn
0.8453 0.3576 0.8453 Zn
0.8453 0.8453 0.3576 Zn
0.0000 0.5000 0.5000 Ni
0.3980 0.3980 0.3980 Ni
0.5000 0.0000 0.5000 Ni
0.5000 0.5000 0.0000 Ni
0.6020 0.6020 0.6020 Ni
```